For CaMn2P4O14, the PBE+U geometry in Alexandria gives the calculated powder XRD pattern in this record (Cu Kα X-rays).
Peak positions follow from Bragg's law for the DFT cell and can differ from measured ones.

a = 6.266 Å, b = 6.281 Å, c = 7.556 Å
α = 88.46°, β = 66.43°, γ = 83.42°
Positions (direct):
Ca: 0.000 0.000 0.000
Mn: 0.255 0.502 0.187
Mn: 0.599 0.193 0.691
P: 0.137 0.230 0.587
P: 0.367 0.998 0.202
P: 0.483 0.701 0.683
P: 0.710 0.472 0.295
O: 0.131 0.435 0.480
O: 0.223 0.759 0.772
O: 0.235 0.817 0.172
O: 0.262 0.037 0.432
O: 0.272 0.219 0.721
O: 0.278 0.195 0.109
O: 0.563 0.494 0.767
O: 0.563 0.654 0.454
O: 0.577 0.464 0.162
O: 0.625 0.883 0.693
O: 0.626 0.950 0.127
O: 0.733 0.259 0.391
O: 0.896 0.164 0.725
O: 0.951 0.547 0.169

The 10 most intense peaks (2θ from 5° to 70°), sorted by position:
| two_theta | I/Imax | h k l |
| --- | --- | --- |
| 14.2 | 37.0 | 0 1 0 |
| 15.5 | 64.6 | 1 0 0 |
| 19.3 | 77.0 | 0 1 1 |
| 25.7 | 100.0 | 0 0 2 |
| 28.7 | 74.6 | 2 0 1 |
| 28.8 | 40.2 | 1 -1 2 |
| 30.6 | 50.0 | 2 1 1 |
| 31.2 | 71.5 | 0 2 -1 |
| 31.7 | 74.7 | 0 2 1 |
| 35.3 | 34.3 | 1 0 -2 |